Calculated X-ray powder pattern
Compound: MgAg5Sn2
Radiation: Cu Ka
Structure: DFT lattice parameters and positions (GGA-PBE)

Main lines, low angle first (5° ≤ 2θ ≤ 70°):
d (Å), two_theta, I/Imax
4.946, 17.94, 125
2.477, 36.27, 1000
2.469, 36.39, 991
2.176, 41.49, 341
2.153, 41.96, 330
2.098, 43.13, 305
1.531, 60.49, 217
1.510, 61.39, 208
1.506, 61.59, 103
1.499, 61.90, 101

```
MgAg5Sn2
1.0
4.195 -4.353 0.000
4.195 4.353 0.000
-4.176 0.000 4.306
Mg Ag Sn
1 5 2
Direct
0.000 0.000 0.000 Mg
0.000 0.000 0.500 Ag
0.000 0.500 0.000 Ag
0.500 0.000 0.000 Ag
0.500 0.500 0.000 Ag
0.500 0.500 0.500 Ag
0.000 0.500 0.500 Sn
0.500 0.000 0.500 Sn
```

Calculated X-ray powder pattern
Compound: TiTeH
Radiation: Cu Ka
Structure: DFT lattice parameters and positions (GGA-PBE)

Main lines, low angle first (5° ≤ 2θ ≤ 70°):
d (Å), two_theta, I/Imax
3.752, 23.71, 591
3.434, 25.95, 537
3.122, 28.59, 262
2.547, 35.23, 1000
2.464, 36.47, 333
2.296, 39.23, 259
2.187, 41.28, 511
1.952, 46.52, 240
1.828, 49.90, 321
1.402, 66.70, 234

```
TiTeH
1.0
3.655 0.000 0.000
0.000 3.655 0.000
0.000 0.000 30.020
Ti Te H
8 8 8
Direct
0.242 0.258 0.096 Ti
0.242 0.742 0.404 Ti
0.258 0.242 0.654 Ti
0.258 0.758 0.846 Ti
0.742 0.242 0.346 Ti
0.742 0.758 0.154 Ti
0.758 0.258 0.904 Ti
0.758 0.742 0.596 Ti
0.242 0.258 0.190 Te
0.242 0.742 0.310 Te
0.258 0.242 0.560 Te
0.258 0.758 0.940 Te
0.742 0.242 0.440 Te
0.742 0.758 0.060 Te
0.758 0.258 0.810 Te
0.758 0.742 0.690 Te
0.242 0.259 0.037 H
0.242 0.741 0.463 H
0.259 0.242 0.713 H
0.259 0.758 0.787 H
0.741 0.242 0.287 H
0.741 0.758 0.213 H
0.758 0.259 0.963 H
0.758 0.741 0.537 H
```

Calculated X-ray powder pattern
Compound: MgBeNO
Radiation: Cu Ka
Structure: DFT lattice parameters and positions (GGA-PBE)

Main lines, low angle first (5° ≤ 2θ ≤ 70°):
d (Å), two_theta, I/Imax
4.814, 18.43, 516
2.229, 40.47, 1000
2.143, 42.18, 835
2.107, 42.93, 420
1.932, 47.04, 366
1.830, 49.83, 265
1.774, 51.51, 343
1.640, 56.09, 240
1.464, 63.53, 227
1.417, 65.93, 147

```
MgBeNO
1.0
2.626 0.000 0.000
0.782 2.725 0.000
0.684 0.661 4.814
Mg Be N O
1 1 1 1
Direct
0.000 0.000 0.000 Mg
0.729 0.296 0.474 Be
0.699 0.712 0.707 N
0.284 0.321 0.259 O
```

Calculated X-ray powder pattern
Compound: Co6Ni23S
Radiation: Cu Ka
Structure: DFT lattice parameters and positions (GGA-PBE)

Main lines, low angle first (5° ≤ 2θ ≤ 70°):
d (Å), two_theta, I/Imax
2.485, 36.14, 52
2.269, 39.73, 90
2.139, 42.25, 385
1.965, 46.21, 1000
1.879, 48.46, 138
1.852, 49.19, 69
1.757, 52.04, 67
1.695, 54.11, 64
1.675, 54.79, 65
1.389, 67.41, 72

```
Co6Ni23S
1.0
0.000 5.557 5.557
5.557 0.000 5.557
5.557 5.557 0.000
Co Ni S
6 23 1
Direct
0.217 0.217 0.783 Co
0.217 0.783 0.217 Co
0.217 0.783 0.783 Co
0.783 0.217 0.217 Co
0.783 0.217 0.783 Co
0.783 0.783 0.217 Co
0.000 0.000 0.500 Ni
0.000 0.500 0.000 Ni
0.000 0.500 0.500 Ni
0.141 0.620 0.620 Ni
0.165 0.165 0.165 Ni
0.165 0.165 0.506 Ni
0.165 0.506 0.165 Ni
0.380 0.380 0.380 Ni
0.380 0.380 0.859 Ni
0.380 0.859 0.380 Ni
0.494 0.835 0.835 Ni
0.500 0.000 0.000 Ni
0.500 0.000 0.500 Ni
0.500 0.500 0.000 Ni
0.500 0.500 0.500 Ni
0.506 0.165 0.165 Ni
0.620 0.141 0.620 Ni
0.620 0.620 0.141 Ni
0.620 0.620 0.620 Ni
0.835 0.494 0.835 Ni
0.835 0.835 0.494 Ni
0.835 0.835 0.835 Ni
0.859 0.380 0.380 Ni
0.000 0.000 0.000 S
```

Calculated X-ray powder pattern
Compound: InH6Pd8
Radiation: Cu Ka
Structure: DFT lattice parameters and positions (GGA-PBE)

Main lines, low angle first (5° ≤ 2θ ≤ 70°):
d (Å), two_theta, I/Imax
2.686, 33.36, 28
2.610, 34.36, 33
2.353, 38.25, 975
2.302, 39.14, 1000
2.227, 40.50, 95
1.944, 46.71, 64
1.645, 55.88, 303
1.426, 65.44, 26
1.392, 67.26, 64
1.369, 68.55, 108

```
InH6Pd8
1.0
7.974 0.000 0.000
-3.987 6.905 0.000
0.000 0.000 2.915
In H Pd
1 6 8
Direct
0.000 0.000 0.000 In
0.149 0.702 0.804 H
0.298 0.447 0.804 H
0.447 0.149 0.196 H
0.553 0.851 0.804 H
0.702 0.553 0.196 H
0.851 0.298 0.196 H
0.021 0.338 0.697 Pd
0.317 0.979 0.697 Pd
0.333 0.667 0.119 Pd
0.338 0.317 0.303 Pd
0.662 0.683 0.697 Pd
0.667 0.333 0.881 Pd
0.683 0.021 0.303 Pd
0.979 0.662 0.303 Pd
```

Calculated X-ray powder pattern
Compound: La2Cu2Pt5Au
Radiation: Cu Ka
Structure: DFT lattice parameters and positions (GGA-PBE)

Main lines, low angle first (5° ≤ 2θ ≤ 70°):
d (Å), two_theta, I/Imax
2.930, 30.51, 240
2.585, 34.71, 363
2.412, 37.27, 1000
2.305, 39.07, 430
2.209, 40.86, 381
2.126, 42.53, 181
2.022, 44.82, 311
1.520, 60.95, 236
1.465, 63.50, 112
1.394, 67.17, 102

```
La2Cu2Pt5Au
1.0
9.506 0.000 0.000
0.000 9.506 0.000
0.000 0.000 4.044
La Cu Pt Au
4 4 10 2
Direct
0.181 0.319 0.000 La
0.319 0.819 0.000 La
0.681 0.181 0.000 La
0.819 0.681 0.000 La
0.117 0.617 0.000 Cu
0.383 0.117 0.000 Cu
0.617 0.883 0.000 Cu
0.883 0.383 0.000 Cu
0.000 0.500 0.500 Pt
0.063 0.790 0.500 Pt
0.210 0.063 0.500 Pt
0.290 0.563 0.500 Pt
0.437 0.290 0.500 Pt
0.500 0.000 0.500 Pt
0.563 0.710 0.500 Pt
0.710 0.437 0.500 Pt
0.790 0.937 0.500 Pt
0.937 0.210 0.500 Pt
0.000 0.000 0.000 Au
0.500 0.500 0.000 Au
```

Calculated X-ray powder pattern
Compound: Tb4Ho5Er4
Radiation: Cu Ka
Structure: DFT lattice parameters and positions (GGA-PBE)

Main lines, low angle first (5° ≤ 2θ ≤ 70°):
d (Å), two_theta, I/Imax
2.874, 31.12, 1000
2.489, 36.08, 506
1.760, 51.95, 359
1.501, 61.81, 426
1.437, 64.88, 123

```
Tb4Ho5Er4
1.0
-6.349 6.349 2.487
6.349 -6.349 2.487
6.349 6.349 -2.487
Tb Ho Er
4 5 4
Direct
0.154 0.231 0.384 Tb
0.231 0.846 0.077 Tb
0.769 0.154 0.923 Tb
0.846 0.769 0.616 Tb
0.000 0.000 0.000 Ho
0.307 0.462 0.769 Ho
0.462 0.693 0.154 Ho
0.538 0.307 0.846 Ho
0.693 0.538 0.231 Ho
0.077 0.615 0.692 Er
0.385 0.077 0.462 Er
0.615 0.923 0.538 Er
0.923 0.385 0.308 Er
```

Calculated X-ray powder pattern
Compound: CdPbN
Radiation: Cu Ka
Structure: DFT lattice parameters and positions (GGA-PBE)

Main lines, low angle first (5° ≤ 2θ ≤ 70°):
d (Å), two_theta, I/Imax
11.568, 7.64, 247
3.856, 23.06, 285
3.213, 27.76, 475
3.166, 28.19, 1000
2.891, 30.93, 632
2.722, 32.91, 245
2.591, 34.61, 261
2.236, 40.34, 315
1.850, 49.26, 212
1.829, 49.86, 219

```
CdPbN
1.0
3.659 0.000 0.000
1.819 3.223 0.000
1.686 -0.890 11.568
Cd Pb N
2 2 2
Direct
0.000 0.000 0.000 Cd
0.205 0.404 0.237 Cd
0.499 0.256 0.723 Pb
0.721 0.129 0.443 Pb
0.122 0.940 0.797 N
0.297 0.355 0.055 N
```

> Number 1 is which compound?

MgAg5Sn2

> Number 5 is which compound?

InH6Pd8

> Which formula does entry 7 have?

Tb4Ho5Er4

> Number 2 is which compound?

TiTeH